The following is a calculated XRD peak list of YTa2Si2. It was derived from the GGA-PBE geometry in OQMD, using Cu Kα (weighted mean of Kα1 and Kα2).
No peak broadening, texture or thermal motion is included.

Crystal structure
```
data_YTa2Si2
_cell_length_a 4.022
_cell_length_b 4.022
_cell_length_c 11.638
_cell_angle_alpha 90.00
_cell_angle_beta 90.00
_cell_angle_gamma 90.00
_space_group_name_H-M_alt 'I 4/m m m'
_space_group_IT_number 139
_space_group_name_Hall '-I 4 2'
loop_
_atom_site_label
_atom_site_fract_x
_atom_site_fract_y
_atom_site_fract_z
_atom_site_occupancy
Y1 0.000 0.000 0.000 1
Ta1 0.000 0.500 0.250 1
Si1 0.000 0.000 0.398 1
```

Principal peaks in the range 2θ from 5° to 70°, low angle first:
2θ (°)  Rel. int.  hkl
15.23  53  0 0 2
30.73  26  0 0 4
31.46  13  1 1 0
35.12  100  1 1 2
44.55  24  1 1 4
45.07  34  2 0 0
47.86  13  2 0 2
55.55  20  2 0 4
57.52  19  1 1 6
65.65  13  2 2 0